Record 1
Computed powder X-ray diffraction pattern
Compound: MgInPb
Radiation: Cu Ka
Structure: a GGA-PBE-relaxed structure
No peak broadening, texture or thermal motion is included.

```
data_MgInPb
_chemical_formula_sum 'Mg1 In1 Pb1'
_space_group_name_H-M_alt 'P 3 m 1'
_space_group_IT_number 156
_space_group_name_Hall 'P 3 -2"'
_cell_length_a 5.2121
_cell_length_b 5.2121
_cell_length_c 3.4733
_cell_angle_alpha 90.00
_cell_angle_beta 90.00
_cell_angle_gamma 120.00
loop_
_atom_site_label
_atom_site_type_symbol
_atom_site_fract_x
_atom_site_fract_y
_atom_site_fract_z
Mg1 Mg 0.0000 0.0000 0.0000
In1 In 0.3333 0.6667 0.8101
Pb1 Pb 0.6667 0.3333 0.3949
```

The 12 most intense peaks (2θ from 10° to 80°), sorted by position:
hkl 1 0 0, 2θ = 19.67°, intensity 50
hkl 1 0 1, 2θ = 32.53°, intensity 100
hkl 1 1 0, 2θ = 34.41°, intensity 65
hkl 2 0 0, 2θ = 39.95°, intensity 9
hkl 0 2 1, 2θ = 48.08°, intensity 34
hkl 2 1 0, 2θ = 53.73°, intensity 8
hkl 0 1 2, 2θ = 56.80°, intensity 12
hkl 2 1 1, 2θ = 60.46°, intensity 34
hkl 3 0 0, 2θ = 61.64°, intensity 12
hkl 1 1 2, 2θ = 64.48°, intensity 14
hkl 2 2 0, 2θ = 72.55°, intensity 8
hkl 1 2 2, 2θ = 78.61°, intensity 9

***

Record 2
Computed powder X-ray diffraction pattern
Compound: MgIn8Pb6
Radiation: Cu Ka
Structure: a GGA-PBE-relaxed structure
No peak broadening, texture or thermal motion is included.

```
data_MgIn8Pb6
_chemical_formula_sum 'Mg3 In24 Pb18'
_space_group_name_H-M_alt 'R -3'
_space_group_IT_number 148
_space_group_name_Hall '-R 3'
_cell_length_a 9.4777
_cell_length_b 9.4777
_cell_length_c 16.9412
_cell_angle_alpha 90.00
_cell_angle_beta 90.00
_cell_angle_gamma 120.00
loop_
_atom_site_label
_atom_site_type_symbol
_atom_site_fract_x
_atom_site_fract_y
_atom_site_fract_z
Mg1 Mg 0.0000 0.0000 0.0000
In1 In 0.0000 0.0000 0.2280
In2 In 0.0491 0.6174 0.5724
Pb1 Pb 0.0224 0.8027 0.4108
```

The 12 most intense peaks (2θ from 10° to 80°), sorted by position:
hkl 1 0 1, 2θ = 11.98°, intensity 16
hkl 0 1 5, 2θ = 28.50°, intensity 10
hkl 2 1 1, 2θ = 29.27°, intensity 13
hkl 1 2 2, 2θ = 30.69°, intensity 100
hkl 0 0 6, 2θ = 31.69°, intensity 30
hkl 3 -1 4, 2θ = 35.88°, intensity 64
hkl 4 -2 3, 2θ = 41.32°, intensity 15
hkl 4 1 0, 2θ = 50.99°, intensity 18
hkl 1 2 8, 2θ = 52.31°, intensity 21
hkl 6 -2 2, 2θ = 60.70°, intensity 9
hkl 5 -4 6, 2θ = 61.28°, intensity 18
hkl 3 -1 10, 2θ = 62.46°, intensity 8

***

Record 3
Computed powder X-ray diffraction pattern
Compound: MgIn6Pb3
Radiation: Cu Ka
Structure: a GGA-PBE-relaxed structure
No peak broadening, texture or thermal motion is included.

```
data_MgIn6Pb3
_chemical_formula_sum 'Mg1 In6 Pb3'
_space_group_name_H-M_alt 'P -3 1 m'
_space_group_IT_number 162
_space_group_name_Hall '-P 3 2'
_cell_length_a 6.0105
_cell_length_b 6.0105
_cell_length_c 9.4353
_cell_angle_alpha 90.00
_cell_angle_beta 90.00
_cell_angle_gamma 120.00
loop_
_atom_site_label
_atom_site_type_symbol
_atom_site_fract_x
_atom_site_fract_y
_atom_site_fract_z
Mg1 Mg 0.0000 0.0000 0.0000
In1 In 0.0000 0.3875 0.8062
Pb1 Pb 0.0000 0.0000 0.5000
Pb2 Pb 0.3333 0.6667 0.5000
```

The 12 most intense peaks (2θ from 10° to 80°), sorted by position:
hkl 0 0 3, 2θ = 28.38°, intensity 41
hkl 1 1 0, 2θ = 29.73°, intensity 8
hkl 2 -1 1, 2θ = 31.24°, intensity 100
hkl 1 1 2, 2θ = 35.41°, intensity 87
hkl 1 1 3, 2θ = 41.56°, intensity 10
hkl 2 -1 4, 2θ = 49.10°, intensity 24
hkl 3 0 0, 2θ = 52.76°, intensity 19
hkl 1 1 5, 2θ = 57.68°, intensity 20
hkl 3 0 3, 2θ = 60.99°, intensity 20
hkl 2 2 1, 2θ = 62.60°, intensity 10
hkl 4 -2 2, 2θ = 65.16°, intensity 11
hkl 3 0 4, 2θ = 66.95°, intensity 8

***

Record 4
Computed powder X-ray diffraction pattern
Compound: MgInPb4
Radiation: Cu Ka
Structure: a GGA-PBE-relaxed structure
No peak broadening, texture or thermal motion is included.

```
data_MgInPb4
_chemical_formula_sum 'Mg2 In2 Pb8'
_space_group_name_H-M_alt 'C 1 2/m 1'
_space_group_IT_number 12
_space_group_name_Hall '-C 2y'
_cell_length_a 8.5632
_cell_length_b 5.2330
_cell_length_c 9.2094
_cell_angle_alpha 90.00
_cell_angle_beta 110.67
_cell_angle_gamma 90.00
loop_
_atom_site_label
_atom_site_type_symbol
_atom_site_fract_x
_atom_site_fract_y
_atom_site_fract_z
Mg1 Mg 0.0000 0.0000 0.0000
In1 In 0.0000 0.5000 0.5000
Pb1 Pb 0.1098 0.0000 0.3612
Pb2 Pb 0.1171 0.5000 0.8774
```

The 12 most intense peaks (2θ from 10° to 80°), sorted by position:
hkl 2 0 -2, 2θ = 24.48°, intensity 100
hkl 1 1 -3, 2θ = 33.85°, intensity 61
hkl 0 2 0, 2θ = 34.27°, intensity 30
hkl 2 0 2, 2θ = 35.58°, intensity 26
hkl 3 1 -1, 2θ = 35.86°, intensity 52
hkl 2 2 -2, 2θ = 42.53°, intensity 17
hkl 4 0 -4, 2θ = 50.06°, intensity 10
hkl 2 2 2, 2θ = 50.23°, intensity 20
hkl 1 3 -3, 2θ = 61.10°, intensity 11
hkl 1 1 5, 2θ = 61.50°, intensity 10
hkl 4 2 -4, 2θ = 62.07°, intensity 11
hkl 3 3 -1, 2θ = 62.41°, intensity 11

***

Record 5
Computed powder X-ray diffraction pattern
Compound: Mg7InPb4
Radiation: Cu Ka
Structure: a GGA-PBE-relaxed structure
No peak broadening, texture or thermal motion is included.

```
data_Mg7InPb4
_chemical_formula_sum 'Mg7 In1 Pb4'
_space_group_name_H-M_alt 'P -3 m 1'
_space_group_IT_number 164
_space_group_name_Hall '-P 3 2"'
_cell_length_a 5.1688
_cell_length_b 5.1688
_cell_length_c 13.2222
_cell_angle_alpha 90.00
_cell_angle_beta 90.00
_cell_angle_gamma 120.00
loop_
_atom_site_label
_atom_site_type_symbol
_atom_site_fract_x
_atom_site_fract_y
_atom_site_fract_z
Mg1 Mg 0.0000 0.0000 0.0000
Mg2 Mg 0.0000 0.0000 0.2492
Mg3 Mg 0.3333 0.6667 0.1634
Mg4 Mg 0.3333 0.6667 0.4161
In1 In 0.0000 0.0000 0.5000
Pb1 Pb 0.3333 0.6667 0.6611
Pb2 Pb 0.3333 0.6667 0.9133
```

The 12 most intense peaks (2θ from 10° to 80°), sorted by position:
hkl 1 0 0, 2θ = 19.83°, intensity 20
hkl 0 1 1, 2θ = 20.95°, intensity 100
hkl 0 1 3, 2θ = 28.42°, intensity 44
hkl 1 0 4, 2θ = 33.71°, intensity 100
hkl 1 1 0, 2θ = 34.71°, intensity 91
hkl 2 0 1, 2θ = 40.89°, intensity 19
hkl 0 2 4, 2θ = 49.16°, intensity 35
hkl 1 1 5, 2θ = 49.30°, intensity 16
hkl 1 2 1, 2θ = 54.69°, intensity 17
hkl 0 1 8, 2θ = 59.63°, intensity 21
hkl 2 1 4, 2θ = 61.58°, intensity 36
hkl 3 0 0, 2θ = 62.22°, intensity 17

***

Record 6
Computed powder X-ray diffraction pattern
Compound: MgInPb
Radiation: Cu Ka
Structure: a GGA-PBE-relaxed structure
No peak broadening, texture or thermal motion is included.

```
data_MgInPb
_chemical_formula_sum 'Mg4 In4 Pb4'
_space_group_name_H-M_alt 'F m m 2'
_space_group_IT_number 42
_space_group_name_Hall 'F 2 -2'
_cell_length_a 3.7996
_cell_length_b 5.5496
_cell_length_c 15.4839
_cell_angle_alpha 90.00
_cell_angle_beta 90.00
_cell_angle_gamma 90.00
loop_
_atom_site_label
_atom_site_type_symbol
_atom_site_fract_x
_atom_site_fract_y
_atom_site_fract_z
Mg1 Mg 0.0000 0.0000 0.0000
In1 In 0.0000 0.0000 0.3432
Pb1 Pb 0.0000 0.0000 0.6637
```

The 12 most intense peaks (2θ from 10° to 80°), sorted by position:
hkl 0 0 2, 2θ = 11.43°, intensity 44
hkl 0 0 4, 2θ = 22.97°, intensity 19
hkl 1 1 1, 2θ = 29.06°, intensity 32
hkl 0 2 0, 2θ = 32.26°, intensity 28
hkl 1 1 3, 2θ = 33.44°, intensity 100
hkl 0 0 6, 2θ = 34.76°, intensity 22
hkl 0 2 6, 2θ = 48.15°, intensity 17
hkl 1 1 7, 2θ = 50.50°, intensity 13
hkl 1 3 3, 2θ = 58.29°, intensity 20
hkl 1 1 9, 2θ = 61.48°, intensity 16
hkl 2 2 6, 2θ = 70.26°, intensity 11
hkl 3 1 3, 2θ = 79.89°, intensity 10

***

Record 7
Computed powder X-ray diffraction pattern
Compound: Mg3InPb8
Radiation: Cu Ka
Structure: a GGA-PBE-relaxed structure
No peak broadening, texture or thermal motion is included.

```
data_Mg3InPb8
_chemical_formula_sum 'Mg3 In1 Pb8'
_space_group_name_H-M_alt 'P -1'
_space_group_IT_number 2
_space_group_name_Hall '-P 1'
_cell_length_a 6.2868
_cell_length_b 7.3498
_cell_length_c 7.6839
_cell_angle_alpha 86.30
_cell_angle_beta 87.54
_cell_angle_gamma 87.07
loop_
_atom_site_label
_atom_site_type_symbol
_atom_site_fract_x
_atom_site_fract_y
_atom_site_fract_z
Mg1 Mg 0.0000 0.0000 0.0000
Mg2 Mg 0.0039 0.6635 0.3375
In1 In 0.5000 0.0000 0.0000
Pb1 Pb 0.2327 0.6033 0.9478
Pb2 Pb 0.2333 0.9363 0.6125
Pb3 Pb 0.2361 0.2595 0.2706
Pb4 Pb 0.4958 0.3341 0.6668
```

The 12 most intense peaks (2θ from 10° to 80°), sorted by position:
hkl 0 1 1, 2θ = 16.21°, intensity 48
hkl -1 1 1, 2θ = 22.24°, intensity 59
hkl 1 -1 2, 2θ = 30.37°, intensity 95
hkl 1 2 -1, 2θ = 30.83°, intensity 92
hkl 2 1 1, 2θ = 31.96°, intensity 100
hkl 0 2 2, 2θ = 32.75°, intensity 76
hkl -2 1 1, 2θ = 33.85°, intensity 74
hkl 0 0 3, 2θ = 35.14°, intensity 34
hkl 1 0 -3, 2θ = 38.59°, intensity 39
hkl 1 -3 0, 2θ = 40.27°, intensity 40
hkl 0 3 -3, 2θ = 53.51°, intensity 24
hkl 3 0 3, 2θ = 55.67°, intensity 28

***

Record 8
Computed powder X-ray diffraction pattern
Compound: MgIn4Pb
Radiation: Cu Ka
Structure: a GGA-PBE-relaxed structure
No peak broadening, texture or thermal motion is included.

```
data_MgIn4Pb
_chemical_formula_sum 'Mg1 In4 Pb1'
_space_group_name_H-M_alt 'P 1 2/m 1'
_space_group_IT_number 10
_space_group_name_Hall '-P 2y'
_cell_length_a 3.4773
_cell_length_b 4.3881
_cell_length_c 10.5023
_cell_angle_alpha 90.00
_cell_angle_beta 90.77
_cell_angle_gamma 90.00
loop_
_atom_site_label
_atom_site_type_symbol
_atom_site_fract_x
_atom_site_fract_y
_atom_site_fract_z
Mg1 Mg 0.0000 0.0000 0.0000
In1 In 0.0008 0.0000 0.3183
In2 In 0.4998 0.5000 0.1541
Pb1 Pb 0.5000 0.5000 0.5000
```

The 12 most intense peaks (2θ from 10° to 80°), sorted by position:
hkl 0 1 2, 2θ = 26.47°, intensity 22
hkl 0 1 3, 2θ = 32.73°, intensity 97
hkl 1 1 0, 2θ = 32.87°, intensity 100
hkl 1 0 -3, 2θ = 36.17°, intensity 37
hkl 1 0 3, 2θ = 36.67°, intensity 36
hkl 0 2 0, 2θ = 41.14°, intensity 27
hkl 2 0 0, 2θ = 52.65°, intensity 13
hkl 1 2 -3, 2θ = 55.92°, intensity 21
hkl 1 2 3, 2θ = 56.28°, intensity 20
hkl 2 1 -3, 2θ = 63.05°, intensity 14
hkl 2 1 3, 2θ = 63.72°, intensity 14
hkl 1 3 0, 2θ = 69.71°, intensity 24

***

Record 9
Computed powder X-ray diffraction pattern
Compound: PuMgInPb
Radiation: Cu Ka
Structure: a GGA-PBE-relaxed structure
No peak broadening, texture or thermal motion is included.

```
data_PuMgInPb
_chemical_formula_sum 'Pu1 Mg1 In1 Pb1'
_space_group_name_H-M_alt 'P m m m'
_space_group_IT_number 47
_space_group_name_Hall '-P 2 2'
_cell_length_a 4.5008
_cell_length_b 4.7413
_cell_length_c 4.8524
_cell_angle_alpha 90.00
_cell_angle_beta 90.00
_cell_angle_gamma 90.00
loop_
_atom_site_label
_atom_site_type_symbol
_atom_site_fract_x
_atom_site_fract_y
_atom_site_fract_z
Pu1 Pu 0.0000 0.0000 0.0000
Mg1 Mg 0.0000 0.5000 0.5000
In1 In 0.5000 0.0000 0.5000
Pb1 Pb 0.5000 0.5000 0.0000
```

The 12 most intense peaks (2θ from 10° to 80°), sorted by position:
hkl 0 0 1, 2θ = 18.28°, intensity 26
hkl 1 1 0, 2θ = 27.32°, intensity 21
hkl 1 1 1, 2θ = 33.07°, intensity 100
hkl 0 0 2, 2θ = 37.05°, intensity 18
hkl 0 2 0, 2θ = 37.95°, intensity 17
hkl 2 0 0, 2θ = 40.07°, intensity 15
hkl 0 2 2, 2θ = 54.09°, intensity 13
hkl 2 0 2, 2θ = 55.71°, intensity 12
hkl 1 1 3, 2θ = 64.27°, intensity 15
hkl 1 3 1, 2θ = 65.48°, intensity 14
hkl 3 1 1, 2θ = 68.37°, intensity 13
hkl 2 2 2, 2θ = 69.40°, intensity 12

***

Record 10
Computed powder X-ray diffraction pattern
Compound: Mg5In2Rh2Pb
Radiation: Cu Ka
Structure: a GGA-PBE-relaxed structure
No peak broadening, texture or thermal motion is included.

```
data_Mg5In2Rh2Pb
_chemical_formula_sum 'Mg10 In4 Rh4 Pb2'
_space_group_name_H-M_alt 'P 4/m b m'
_space_group_IT_number 127
_space_group_name_Hall '-P 4 2ab'
_cell_length_a 10.7553
_cell_length_b 10.7553
_cell_length_c 3.6764
_cell_angle_alpha 90.00
_cell_angle_beta 90.00
_cell_angle_gamma 90.00
loop_
_atom_site_label
_atom_site_type_symbol
_atom_site_fract_x
_atom_site_fract_y
_atom_site_fract_z
Mg1 Mg 0.0000 0.5000 0.0000
Mg2 Mg 0.0795 0.2138 0.0000
In1 In 0.1671 0.6671 0.5000
Rh1 Rh 0.1211 0.3789 0.5000
Pb1 Pb 0.0000 0.0000 0.5000
```

The 12 most intense peaks (2θ from 10° to 80°), sorted by position:
hkl 2 2 0, 2θ = 23.39°, intensity 19
hkl 0 0 1, 2θ = 24.21°, intensity 42
hkl 3 1 0, 2θ = 26.20°, intensity 68
hkl 2 2 1, 2θ = 33.92°, intensity 22
hkl 4 1 0, 2θ = 34.38°, intensity 17
hkl 3 1 1, 2θ = 35.97°, intensity 100
hkl 4 2 0, 2θ = 37.39°, intensity 20
hkl 3 2 1, 2θ = 38.88°, intensity 17
hkl 0 0 2, 2θ = 49.59°, intensity 13
hkl 5 1 1, 2θ = 49.84°, intensity 12
hkl 4 4 1, 2θ = 54.32°, intensity 15
hkl 3 1 2, 2θ = 56.94°, intensity 16

***

Record 11
Computed powder X-ray diffraction pattern
Compound: ThMg2InPb
Radiation: Cu Ka
Structure: a GGA-PBE-relaxed structure
No peak broadening, texture or thermal motion is included.

```
data_ThMg2InPb
_chemical_formula_sum 'Th4 Mg8 In4 Pb4'
_space_group_name_H-M_alt 'C m c m'
_space_group_IT_number 63
_space_group_name_Hall '-C 2c 2'
_cell_length_a 3.4191
_cell_length_b 18.0212
_cell_length_c 9.5591
_cell_angle_alpha 90.00
_cell_angle_beta 90.00
_cell_angle_gamma 90.00
loop_
_atom_site_label
_atom_site_type_symbol
_atom_site_fract_x
_atom_site_fract_y
_atom_site_fract_z
Th1 Th 0.0000 0.0832 0.2500
Mg1 Mg 0.0000 0.3358 0.0422
In1 In 0.0000 0.5000 0.0000
Pb1 Pb 0.0000 0.2527 0.7500
```

The 12 most intense peaks (2θ from 10° to 80°), sorted by position:
hkl 0 2 1, 2θ = 13.50°, intensity 69
hkl 0 0 2, 2θ = 18.56°, intensity 33
hkl 0 2 2, 2θ = 21.04°, intensity 26
hkl 0 4 1, 2θ = 21.81°, intensity 25
hkl 0 6 0, 2θ = 29.74°, intensity 28
hkl 1 3 1, 2θ = 31.53°, intensity 100
hkl 1 1 2, 2θ = 32.58°, intensity 55
hkl 0 6 2, 2θ = 35.29°, intensity 70
hkl 1 5 0, 2θ = 36.21°, intensity 23
hkl 0 0 4, 2θ = 37.64°, intensity 28
hkl 1 3 3, 2θ = 41.56°, intensity 47
hkl 2 6 2, 2θ = 65.83°, intensity 23

***

Record 12
Computed powder X-ray diffraction pattern
Compound: MgInPd
Radiation: Cu Ka
Structure: a GGA-PBE-relaxed structure
No peak broadening, texture or thermal motion is included.

```
data_MgInPd
_chemical_formula_sum 'Mg16 In16 Pd16'
_space_group_name_H-M_alt 'F d d 2'
_space_group_IT_number 43
_space_group_name_Hall 'F 2 -2d'
_cell_length_a 8.9858
_cell_length_b 12.7909
_cell_length_c 9.0702
_cell_angle_alpha 90.00
_cell_angle_beta 90.00
_cell_angle_gamma 90.00
loop_
_atom_site_label
_atom_site_type_symbol
_atom_site_fract_x
_atom_site_fract_y
_atom_site_fract_z
Mg1 Mg 0.0000 0.1248 0.0000
In1 In 0.9999 0.1278 0.4994
Pd1 Pd 0.0026 0.2501 0.2495
```

The 12 most intense peaks (2θ from 10° to 80°), sorted by position:
hkl 1 1 1, 2θ = 15.51°, intensity 31
hkl 0 2 2, 2θ = 24.06°, intensity 34
hkl 2 2 0, 2θ = 24.21°, intensity 38
hkl 1 3 1, 2θ = 25.12°, intensity 13
hkl 0 0 4, 2θ = 39.75°, intensity 25
hkl 2 4 2, 2θ = 39.91°, intensity 100
hkl 4 0 0, 2θ = 40.14°, intensity 25
hkl 0 6 2, 2θ = 47.09°, intensity 20
hkl 4 2 2, 2θ = 47.34°, intensity 10
hkl 4 0 4, 2θ = 57.77°, intensity 16
hkl 2 4 6, 2θ = 72.28°, intensity 25
hkl 6 4 2, 2θ = 72.78°, intensity 16